This entry pairs a crystal structure of CsPmZnCl6 with its simulated X-ray powder pattern. Radiation: Cu Kα (weighted mean of Kα1 and Kα2). Structure: a crystal structure in Alexandria, relaxed with PBE.
Lines closer than 0.1° are merged.

Structural model:
a b c (Å): 6.8864 6.8864 7.7294
angles (deg): 90.00 90.00 120.00
Space group P312 (No. 149)
Unique sites:
Cs 0.0000 0.0000 0.0000
Pm 0.6667 0.3333 0.5000
Zn 0.3333 0.6667 0.5000
Cl 0.0244 0.3918 0.6932

Peak list (12 most intense, 2θ = 15–90°, sorted by position)
d [Å]	I (rel.)	h k l
4.722	1000	1 0 1
3.443	210	1 1 0
3.145	159	2 -1 1
2.782	198	2 0 1
2.571	604	2 -1 2
2.365	136	1 0 3
2.164	262	3 -1 1
1.988	180	3 0 0
1.949	146	2 0 3
1.685	118	1 1 4
1.617	120	3 1 1
1.573	110	2 2 2

This entry pairs a crystal structure of CsK6Na12 with its simulated X-ray powder pattern. Radiation: Cu Kα (weighted mean of Kα1 and Kα2). Structure: a crystal structure in Alexandria, relaxed with PBE.
Lines closer than 0.1° are merged.

Structural model:
a b c (Å): 16.0449 16.0449 13.3799
angles (deg): 90.00 90.00 120.00
Space group R-3m (No. 166, hexagonal axes)
Unique sites:
Cs 0.0000 0.0000 0.0000
K 0.0906 0.1813 0.7276
Na 0.0000 0.2691 0.0000
Na 0.0264 0.5132 0.1274

Peak list (12 most intense, 2θ = 15–90°, sorted by position)
d [Å]	I (rel.)	h k l
4.889	456	2 1 1
4.460	147	0 0 3
4.131	215	1 2 2
3.362	1000	4 0 1
3.339	366	3 1 2
3.252	374	1 0 4
3.213	444	0 3 3
3.083	439	0 4 2
2.508	155	1 4 3
2.198	251	3 1 5
2.007	316	4 4 0
1.886	214	4 3 4

Question: What is the formula in the second record?
Answer: CsK6Na12